Calculated X-ray diffraction stick pattern of Ag9Cl2F14 for copper Kα, from a crystal structure in Alexandria, relaxed with GGA-PBE.

Principal peaks in the range 2θ = 5–70°, sorted by position:
h k l  2θ (°)  intensity
0 0 3  25.95  41
2 -1 1  27.68  100
1 1 2  31.58  43
2 -1 4  44.14  40
3 0 0  46.34  33
1 1 5  51.92  16
3 0 3  53.87  31
2 2 1  54.83  16
4 -2 2  57.16  11
2 2 4  65.92  9

a = 6.787 Å, b = 6.787 Å, c = 10.301 Å
α = 90.00°, β = 90.00°, γ = 120.00°
Sites, in units of the cell vectors:
Ag: 0.000 0.000 0.000
Ag: 0.001 0.326 0.343
Ag: 0.324 0.999 0.343
Ag: 0.326 0.324 0.657
Ag: 0.333 0.667 0.987
Ag: 0.667 0.333 0.013
Ag: 0.674 0.676 0.343
Ag: 0.676 0.001 0.657
Ag: 0.999 0.674 0.657
Cl: 0.333 0.667 0.238
Cl: 0.667 0.333 0.762
F: 0.000 0.000 0.316
F: 0.000 0.000 0.684
F: 0.077 0.415 0.599
F: 0.096 0.780 0.898
F: 0.220 0.317 0.898
F: 0.317 0.096 0.102
F: 0.338 0.923 0.599
F: 0.415 0.338 0.401
F: 0.585 0.662 0.599
F: 0.662 0.077 0.401
F: 0.683 0.904 0.898
F: 0.780 0.683 0.102
F: 0.904 0.220 0.102
F: 0.923 0.585 0.401